Entry 1:
Diffraction record for Cu9S5. The powder diffraction line list is simulated, not measured: it uses DFT lattice parameters and positions (GGA-PBE) and CuKα.

Largest 6 diffraction maxima, by intensity, 10 to 80 degrees two-theta:
2θ (°), I/Imax, h k l
28.79, 100, 1 1 2
46.41, 94, 2 2 -1
47.18, 93, 2 3 2
28.60, 92, 1 2 0
46.61, 92, 2 -1 0
28.50, 92, 1 -1 1

Structure:
Cell lengths 5.7916, 6.5097, 6.5225 Å; angles 79.57, 64.27, 64.03 degrees
Space group P1 (No. 1)
One atom of each set of equivalent atoms:
Cu1 0.0000 0.0000 0.0000 (multiplicity 1)
Cu2 0.0112 0.6025 0.1017 (multiplicity 1)
Cu3 0.1414 0.0445 0.3048 (multiplicity 1)
Cu4 0.3465 0.3935 0.5363 (multiplicity 1)
Cu5 0.4558 0.2920 0.1355 (multiplicity 1)
Cu6 0.5138 0.7213 0.4280 (multiplicity 1)
Cu7 0.5638 0.8349 0.7599 (multiplicity 1)
Cu8 0.7448 0.1454 0.6935 (multiplicity 1)
Cu9 0.8649 0.4418 0.8489 (multiplicity 1)
S1 0.0677 0.7795 0.7269 (multiplicity 1)
S2 0.2661 0.2169 0.9208 (multiplicity 1)
S3 0.4369 0.6568 0.1200 (multiplicity 1)
S4 0.6540 0.0267 0.3608 (multiplicity 1)
S5 0.9010 0.4162 0.4835 (multiplicity 1)

***

Entry 2:
Diffraction record for K2SnBi. The powder diffraction line list is simulated, not measured: it uses DFT lattice parameters and positions (GGA-PBE) and CuKα.

Largest 6 diffraction maxima, by intensity, 10 to 80 degrees two-theta:
2θ (°), I/Imax, h k l
14.43, 100, 1 1 0
32.67, 72, 2 3 0
18.66, 72, 0 2 1
29.90, 71, 1 0 2
29.99, 69, 2 1 1
19.69, 60, 1 1 1

Structure:
Cell lengths 6.8770, 13.6251, 6.6433 Å; angles 90.00, 90.00, 90.00 degrees
Space group Pbcm (No. 57)
One atom of each set of equivalent atoms:
K1 0.1112 0.1666 0.2500 (multiplicity 4)
K2 0.3410 0.0110 0.7500 (multiplicity 4)
Sn1 0.4059 0.7500 0.0000 (multiplicity 4)
Bi1 0.1605 0.6056 0.7500 (multiplicity 4)

***

Entry 3:
Diffraction record for LaSnAu. The powder diffraction line list is simulated, not measured: it uses DFT lattice parameters and positions (GGA-PBE) and CuKα.

Largest 6 diffraction maxima, by intensity, 10 to 80 degrees two-theta:
2θ (°), I/Imax, h k l
31.13, 100, 1 0 2
37.38, 83, 1 1 0
49.41, 28, 2 0 2
63.56, 26, 2 1 2
40.39, 22, 1 0 3
60.50, 21, 1 1 4

Structure:
Cell lengths 4.8112, 4.8112, 7.9342 Å; angles 90.00, 90.00, 120.00 degrees
Space group P6_3mc (No. 186)
One atom of each set of equivalent atoms:
La1 0.0000 0.0000 0.0000 (multiplicity 2)
Sn1 0.3333 0.6667 0.2223 (multiplicity 2)
Au1 0.3333 0.6667 0.7972 (multiplicity 2)

***

Entry 4:
Diffraction record for Np4Fe. The powder diffraction line list is simulated, not measured: it uses DFT lattice parameters and positions (GGA-PBE) and CuKα.

Largest 6 diffraction maxima, by intensity, 10 to 80 degrees two-theta:
2θ (°), I/Imax, h k l
32.57, 100, 2 2 2
37.78, 40, 4 0 0
49.74, 34, 3 3 3
54.50, 29, 4 4 0
41.32, 22, 3 3 1
64.95, 22, 6 2 2

Structure:
Cell lengths 9.5242, 9.5242, 9.5242 Å; angles 90.00, 90.00, 90.00 degrees
Space group Fd-3m (No. 227, origin choice 2)
One atom of each set of equivalent atoms:
Np1 0.0214 0.0214 0.2286 (multiplicity 32)
Fe1 0.1250 0.1250 0.6250 (multiplicity 8)

***

Entry 5:
Diffraction record for PbIBr. The powder diffraction line list is simulated, not measured: it uses DFT lattice parameters and positions (GGA-PBE) and CuKα.

Largest 6 diffraction maxima, by intensity, 10 to 80 degrees two-theta:
2θ (°), I/Imax, h k l
27.53, 100, 1 1 2
29.25, 44, 2 1 1
39.93, 44, 0 2 0
33.22, 43, 1 1 3
31.06, 38, 3 0 1
46.00, 31, 4 1 1

Structure:
Cell lengths 8.9572, 4.5184, 10.8795 Å; angles 90.00, 90.00, 90.00 degrees
Space group Pnma (No. 62)
One atom of each set of equivalent atoms:
Pb1 0.1491 0.2500 0.1541 (multiplicity 4)
I1 0.0014 0.2500 0.6762 (multiplicity 4)
Br1 0.1569 0.7500 0.9505 (multiplicity 4)